No. 1
Simulated PXRD pattern
Compound: HgCSO3F3
Radiation: Cu Kα (λ = 1.5418 Å)
Structure: a structure optimized by DFT (PBE)
No peak broadening, texture or thermal motion is included.

Principal peaks in the range 2θ from 10° to 90°, in order of rising 2θ:
Position (°2θ)  I/Imax  hkl
19.60  46  1 0 -1
19.72  52  0 1 -1
24.61  84  1 0 -2
24.74  100  1 -1 0
24.99  94  0 1 -2
26.16  57  -1 1 1
29.41  36  1 1 1
34.49  41  1 1 2
36.53  38  1 1 -3
42.79  47  0 1 4

Crystal structure
```
data_HgCSO3F3
_cell_length_a 4.892
_cell_length_b 4.941
_cell_length_c 9.724
_cell_angle_alpha 93.31
_cell_angle_beta 95.76
_cell_angle_gamma 94.18
_symmetry_space_group_name_H-M 'P -1'
_symmetry_Int_Tables_number 2
loop_
_symmetry_equiv_pos_as_xyz
'x,y,z'
'-x,-y,-z'
loop_
_atom_site_label
_atom_site_type_symbol
_atom_site_fract_x
_atom_site_fract_y
_atom_site_fract_z
_atom_site_occupancy
Hg1 Hg 0.168 0.128 0.093 1
C1 C 0.336 0.222 0.621 1
S1 S 0.338 0.428 0.786 1
O1 O 0.049 0.457 0.799 1
O2 O 0.484 0.276 0.890 1
O3 O 0.494 0.683 0.757 1
F1 F 0.163 0.998 0.622 1
F2 F 0.251 0.364 0.513 1
F3 F 0.405 0.847 0.390 1
```



No. 2
Simulated PXRD pattern
Compound: Ho4CIF4
Radiation: Cu Kα (λ = 1.5418 Å)
Structure: a structure optimized by DFT (PBE)
No peak broadening, texture or thermal motion is included.

Principal peaks in the range 2θ from 10° to 90°, in order of rising 2θ:
Position (°2θ)  I/Imax  hkl
11.96  61  0 0 1
13.62  39  2 0 0
21.81  47  2 0 1
27.43  41  4 0 0
30.98  53  3 1 -1
32.18  39  3 1 0
33.11  100  1 1 -2
41.67  50  6 0 0
50.92  36  7 1 -2
67.32  30  6 2 0

Crystal structure
```
data_Ho4CIF4
_cell_length_a 14.481
_cell_length_b 3.628
_cell_length_c 8.242
_cell_angle_alpha 90.00
_cell_angle_beta 116.14
_cell_angle_gamma 90.00
_symmetry_space_group_name_H-M 'C 1 2/m 1'
_symmetry_Int_Tables_number 12
loop_
_symmetry_equiv_pos_as_xyz
'x,y,z'
'-x,-y,-z'
'-x,y,-z'
'x,-y,z'
'x+1/2,y+1/2,z'
'-x+1/2,-y+1/2,-z'
'-x+1/2,y+1/2,-z'
'x+1/2,-y+1/2,z'
loop_
_atom_site_label
_atom_site_type_symbol
_atom_site_fract_x
_atom_site_fract_y
_atom_site_fract_z
_atom_site_occupancy
Ho1 Ho 0.007 0.000 0.199 1
Ho2 Ho 0.177 0.500 0.128 1
C1 C 0.000 0.500 0.000 1
I1 I 0.000 0.500 0.500 1
F1 F 0.177 0.000 0.941 1
F2 F 0.195 0.000 0.307 1
```



No. 3
Simulated PXRD pattern
Compound: Ho4CI2F3
Radiation: Cu Kα (λ = 1.5418 Å)
Structure: a structure optimized by DFT (PBE)
No peak broadening, texture or thermal motion is included.

Principal peaks in the range 2θ from 10° to 90°, in order of rising 2θ:
Position (°2θ)  I/Imax  hkl
12.91  53  0 0 1
25.43  22  4 0 1
28.25  47  1 1 -1
29.34  18  3 1 0
31.68  57  6 0 0
32.45  25  4 0 -2
36.28  100  1 1 -2
36.78  23  1 1 2
46.31  41  5 1 2
50.53  19  0 2 0

Crystal structure
```
data_Ho4CI2F3
_cell_length_a 17.000
_cell_length_b 3.612
_cell_length_c 6.875
_cell_angle_alpha 90.00
_cell_angle_beta 93.86
_cell_angle_gamma 90.00
_symmetry_space_group_name_H-M 'C 1 2/m 1'
_symmetry_Int_Tables_number 12
loop_
_symmetry_equiv_pos_as_xyz
'x,y,z'
'-x,-y,-z'
'-x,y,-z'
'x,-y,z'
'x+1/2,y+1/2,z'
'-x+1/2,-y+1/2,-z'
'-x+1/2,y+1/2,-z'
'x+1/2,-y+1/2,z'
loop_
_atom_site_label
_atom_site_type_symbol
_atom_site_fract_x
_atom_site_fract_y
_atom_site_fract_z
_atom_site_occupancy
Ho1 Ho 0.006 0.000 0.265 1
Ho2 Ho 0.139 0.500 0.564 1
C1 C 0.000 0.500 0.500 1
I1 I 0.186 0.000 0.233 1
F1 F 0.000 0.500 0.000 1
F2 F 0.130 0.000 0.774 1
```



Which formula does entry 1 have? HgCSO3F3